Calculated powder diffraction line list
Compound: NbAgPb2
Radiation: λ = 1.5418 Å (Cu Kα)
Structure: a PBE-relaxed structure
Lines closer than 0.1° are merged.

Structural model:
```
data_NbAgPb2
_chemical_formula_sum 'Nb4 Ag4 Pb8'
_cell_length_a 7.187
_cell_length_b 7.187
_cell_length_c 7.187
_cell_angle_alpha 90.00
_cell_angle_beta 90.00
_cell_angle_gamma 90.00
_space_group_name_H-M_alt 'F m -3 m'
_space_group_IT_number 225
_space_group_name_Hall '-F 4 2 3'
loop_
_atom_site_label
_atom_site_fract_x
_atom_site_fract_y
_atom_site_fract_z
_atom_site_occupancy
Nb1 0.000 0.000 0.000 1
Ag1 0.000 0.000 0.500 1
Pb1 0.250 0.250 0.250 1
```

Principal peaks in the range 10 to 90 degrees two-theta, in order of rising 2θ:
- 24.78 deg, I 12, hkl 2 0 0
- 35.32 deg, I 100, hkl 2 2 0
- 43.63 deg, I 4, hkl 2 2 2
- 50.82 deg, I 18, hkl 4 0 0
- 57.33 deg, I 6, hkl 4 2 0
- 63.40 deg, I 37, hkl 4 2 2
- 74.72 deg, I 11, hkl 4 4 0
- 80.12 deg, I 3, hkl 6 0 0
- 85.44 deg, I 17, hkl 6 2 0